[1]
# Sr3Al2Cl2O5
Computed powder diffractogram, Cu Ka. Input: a DFT-relaxed cell (GGA-PBE, the Materials Project).
Intensities are scaled so that the largest is 100.

Structure:
Lattice parameters (Å, degrees): 9.499 9.514 9.519 90.00 90.00 90.00
Fractional positions:
Sr (0.008, 0.249, 0.089)
Sr (0.088, 0.487, 0.742)
Sr (0.240, 0.089, 0.499)
Sr (0.260, 0.911, 0.999)
Sr (0.412, 0.513, 0.242)
Sr (0.492, 0.751, 0.589)
Sr (0.508, 0.251, 0.911)
Sr (0.588, 0.013, 0.258)
Sr (0.740, 0.411, 0.501)
Sr (0.760, 0.589, 0.001)
Sr (0.912, 0.987, 0.758)
Sr (0.992, 0.749, 0.411)
Al (0.094, 0.401, 0.403)
Al (0.101, 0.595, 0.097)
Al (0.399, 0.405, 0.597)
Al (0.406, 0.599, 0.903)
Al (0.594, 0.099, 0.597)
Al (0.601, 0.905, 0.903)
Al (0.899, 0.095, 0.403)
Al (0.906, 0.901, 0.097)
Cl (0.182, 0.798, 0.698)
Cl (0.204, 0.185, 0.810)
Cl (0.296, 0.815, 0.310)
Cl (0.318, 0.202, 0.198)
Cl (0.682, 0.702, 0.302)
Cl (0.704, 0.315, 0.190)
Cl (0.796, 0.685, 0.690)
Cl (0.818, 0.298, 0.802)
O (0.000, 0.488, 0.986)
O (0.000, 0.988, 0.514)
O (0.006, 0.242, 0.356)
O (0.018, 0.007, 0.997)
O (0.145, 0.497, 0.250)
O (0.239, 0.356, 0.513)
O (0.261, 0.644, 0.013)
O (0.355, 0.503, 0.750)
O (0.482, 0.993, 0.497)
O (0.494, 0.758, 0.856)
O (0.500, 0.012, 0.014)
O (0.500, 0.512, 0.486)
O (0.506, 0.258, 0.644)
O (0.518, 0.493, 0.003)
O (0.645, 0.003, 0.750)
O (0.739, 0.144, 0.487)
O (0.761, 0.856, 0.987)
O (0.855, 0.997, 0.250)
O (0.982, 0.507, 0.503)
O (0.994, 0.742, 0.144)

Most intense lines, 2θ from 10° to 90°, in order of falling intensity:
2θ 29.7, rel. 100; 2θ 35.3, rel. 80; 2θ 22.9, rel. 72; 2θ 42.5, rel. 42; 2θ 48.8, rel. 32; 2θ 59.9, rel. 32; 2θ 63.4, rel. 21; 2θ 40.2, rel. 14; 2θ 52.7, rel. 13; 2θ 46.8, rel. 13



[2]
# Al2PdCl8
Computed powder diffractogram, Cu Ka. Input: a DFT-relaxed cell (GGA-PBE, the Materials Project).
Intensities are scaled so that the largest is 100.

Structure:
Lattice parameters (Å, degrees): 6.908 7.642 14.043 90.00 99.17 90.00
Fractional positions:
Al (0.167, 0.224, 0.399)
Al (0.167, 0.276, 0.899)
Al (0.833, 0.724, 0.101)
Al (0.833, 0.776, 0.601)
Pd (0.500, 0.000, 0.000)
Pd (0.500, 0.500, 0.500)
Cl (0.127, 0.720, 0.078)
Cl (0.127, 0.780, 0.578)
Cl (0.248, 0.033, 0.305)
Cl (0.248, 0.467, 0.805)
Cl (0.268, 0.010, 0.859)
Cl (0.268, 0.490, 0.359)
Cl (0.369, 0.234, 0.541)
Cl (0.369, 0.266, 0.041)
Cl (0.631, 0.734, 0.959)
Cl (0.631, 0.766, 0.459)
Cl (0.732, 0.510, 0.641)
Cl (0.732, 0.990, 0.141)
Cl (0.752, 0.533, 0.195)
Cl (0.752, 0.967, 0.695)
Cl (0.873, 0.220, 0.422)
Cl (0.873, 0.280, 0.922)

Most intense lines, 2θ from 10° to 90°, in order of falling intensity:
2θ 12.8, rel. 100; 2θ 16.7, rel. 95; 2θ 13.2, rel. 76; 2θ 28.8, rel. 62; 2θ 30.7, rel. 53; 2θ 19.3, rel. 52; 2θ 24.4, rel. 51; 2θ 17.8, rel. 45; 2θ 20.4, rel. 35; 2θ 17.3, rel. 34



[3]
# Rb2AlTlCl6
Computed powder diffractogram, Cu Ka. Input: a DFT-relaxed cell (GGA-PBE, the Materials Project).
Intensities are scaled so that the largest is 100.

Structure:
Lattice parameters (Å, degrees): 7.646 7.646 7.646 60.00 60.00 60.00
Fractional positions:
Rb (0.250, 0.250, 0.250)
Rb (0.750, 0.750, 0.750)
Al (0.000, 0.000, 0.000)
Tl (0.500, 0.500, 0.500)
Cl (0.217, 0.217, 0.783)
Cl (0.217, 0.783, 0.217)
Cl (0.217, 0.783, 0.783)
Cl (0.783, 0.217, 0.217)
Cl (0.783, 0.217, 0.783)
Cl (0.783, 0.783, 0.217)

Most intense lines, 2θ from 10° to 90°, in order of falling intensity:
2θ 23.3, rel. 100; 2θ 33.1, rel. 63; 2θ 40.9, rel. 41; 2θ 47.6, rel. 40; 2θ 27.4, rel. 40; 2θ 36.2, rel. 32; 2θ 64.5, rel. 28; 2θ 53.6, rel. 27; 2θ 14.2, rel. 25; 2θ 16.4, rel. 19



[4]
# AlSCl7
Computed powder diffractogram, Cu Ka. Input: a DFT-relaxed cell (GGA-PBE, the Materials Project).
Intensities are scaled so that the largest is 100.

Structure:
Lattice parameters (Å, degrees): 6.554 6.453 13.607 90.00 102.87 90.00
Fractional positions:
Al (0.000, 0.010, 0.000)
Al (0.000, 0.990, 0.500)
S (0.322, 0.425, 0.169)
S (0.322, 0.575, 0.669)
Cl (0.224, 0.380, 0.765)
Cl (0.224, 0.620, 0.265)
Cl (0.316, 0.101, 0.996)
Cl (0.316, 0.899, 0.496)
Cl (0.494, 0.220, 0.265)
Cl (0.494, 0.780, 0.765)
Cl (0.547, 0.410, 0.624)
Cl (0.547, 0.590, 0.124)
Cl (0.786, 0.139, 0.872)
Cl (0.786, 0.861, 0.372)
Cl (0.942, 0.126, 0.141)
Cl (0.942, 0.874, 0.641)
Cl (0.970, 0.324, 0.496)
Cl (0.970, 0.676, 0.996)

Most intense lines, 2θ from 10° to 90°, in order of falling intensity:
2θ 25.5, rel. 100; 2θ 17.0, rel. 92; 2θ 19.2, rel. 86; 2θ 30.4, rel. 78; 2θ 19.6, rel. 74; 2θ 30.6, rel. 73; 2θ 28.5, rel. 68; 2θ 36.4, rel. 45; 2θ 30.8, rel. 34; 2θ 13.3, rel. 32